This entry pairs a crystal structure of Nb2Sn2O7 with its calculated X-ray diffraction stick pattern. Radiation: CuKα. Structure: a PBE-relaxed structure.

Largest 6 diffraction maxima, in order of falling intensity, 2θ from 10° to 90°:
- 28.74°, rel. 100
- 47.82°, rel. 45
- 56.75°, rel. 45
- 33.31°, rel. 33
- 77.30°, rel. 18
- 79.70°, rel. 16

Structure:
Unit cell a=7.6089 b=7.6089 c=7.6089 alpha=60.00 beta=60.00 gamma=60.00
Fractional positions:
Nb  0.0000  0.0000  0.0000
Nb  0.0000  0.0000  0.5000
Nb  0.0000  0.5000  0.0000
Nb  0.5000  0.0000  0.0000
Sn  0.0000  0.5000  0.5000
Sn  0.5000  0.0000  0.5000
Sn  0.5000  0.5000  0.0000
Sn  0.5000  0.5000  0.5000
O  0.0640  0.0640  0.6860
O  0.0640  0.6860  0.0640
O  0.0640  0.6860  0.6860
O  0.3140  0.3140  0.9360
O  0.3140  0.9360  0.3140
O  0.3140  0.9360  0.9360
O  0.3750  0.3750  0.3750
O  0.6250  0.6250  0.6250
O  0.6860  0.0640  0.0640
O  0.6860  0.0640  0.6860
O  0.6860  0.6860  0.0640
O  0.9360  0.3140  0.3140
O  0.9360  0.3140  0.9360
O  0.9360  0.9360  0.3140